This entry pairs a crystal structure of Tb2Tm3Mg8 with its calculated XRD peak list. Radiation: Cu Kα. Structure: a DFT-relaxed cell (GGA-PBE, Alexandria).
Peak positions follow from Bragg's law for the DFT cell and can differ from measured ones.

Most intense lines, 2θ from 10° to 90°, sorted by position:
d_spacing, I_rel
6.125, 557
4.164, 805
2.917, 911
2.787, 1000
2.634, 758
1.658, 426

```
Tb2Tm3Mg8
1.0
2.917 1.684 12.249
-2.917 1.684 12.249
0.000 -3.369 12.249
Tb Tm Mg
2 3 8
direct
0.140 0.140 0.140 Tb
0.860 0.860 0.860 Tb
0.316 0.316 0.316 Tm
0.500 0.500 0.500 Tm
0.684 0.684 0.684 Tm
0.225 0.225 0.225 Mg
0.229 0.229 0.728 Mg
0.229 0.728 0.229 Mg
0.272 0.771 0.771 Mg
0.728 0.229 0.229 Mg
0.771 0.272 0.771 Mg
0.771 0.771 0.272 Mg
0.775 0.775 0.775 Mg
```

---

This entry pairs a crystal structure of PmBe17Os with its calculated XRD peak list. Radiation: Cu Kα. Structure: a DFT-relaxed cell (GGA-PBE, Alexandria).
Peak positions follow from Bragg's law for the DFT cell and can differ from measured ones.

Most intense lines, 2θ from 10° to 90°, sorted by position:
d_spacing, I_rel
5.605, 593
4.192, 375
3.768, 1000
3.646, 316
2.620, 906
1.868, 430

```
PmBe17Os
1.0
3.768 2.176 3.646
-3.768 2.176 3.646
0.000 -4.351 3.646
Pm Be Os
1 17 1
direct
0.000 0.000 0.000 Pm
0.010 0.010 0.491 Be
0.010 0.491 0.010 Be
0.155 0.660 0.660 Be
0.319 0.319 0.789 Be
0.319 0.789 0.319 Be
0.371 0.648 0.954 Be
0.371 0.954 0.648 Be
0.491 0.010 0.010 Be
0.557 0.557 0.557 Be
0.648 0.371 0.954 Be
0.648 0.954 0.371 Be
0.660 0.155 0.660 Be
0.660 0.660 0.155 Be
0.748 0.748 0.748 Be
0.789 0.319 0.319 Be
0.954 0.371 0.648 Be
0.954 0.648 0.371 Be
0.336 0.336 0.336 Os
```